For CaSi, the GGA-PBE geometry in the Materials Project gives the theoretical powder X-ray diffraction pattern in this record (Cu Ka).

The 10 most intense peaks (2θ = 15–90°), by angle:
Position (°2θ), d (Å), I/Imax
31.31, 2.857, 100
31.84, 2.810, 47
33.48, 2.676, 21
39.52, 2.280, 93
40.89, 2.207, 21
46.56, 1.951, 19
57.51, 1.603, 15
58.18, 1.586, 14
62.68, 1.482, 15
64.24, 1.450, 14

Structural model:
```
data_CaSi
_chemical_formula_sum 'Ca4 Si4'
_cell_length_a 4.5600
_cell_length_b 10.7053
_cell_length_c 3.9015
_cell_angle_alpha 90.00
_cell_angle_beta 90.00
_cell_angle_gamma 90.00
_space_group_name_H-M_alt 'C m c m'
_space_group_IT_number 63
_space_group_name_Hall '-C 2c 2'
loop_
_atom_site_label
_atom_site_type_symbol
_atom_site_fract_x
_atom_site_fract_y
_atom_site_fract_z
Ca1 Ca 0.0000 0.1386 0.2500
Si1 Si 0.0000 0.4310 0.2500
```

***

For Mg6NbGa, the GGA-PBE geometry in the Materials Project gives the theoretical powder X-ray diffraction pattern in this record (Cu Ka).

The 10 most intense peaks (2θ = 15–90°), by angle:
Position (°2θ), d (Å), I/Imax
16.38, 5.411, 91
24.64, 3.614, 27
33.07, 2.709, 35
34.17, 2.624, 24
36.96, 2.432, 40
38.02, 2.367, 100
38.20, 2.356, 61
40.67, 2.218, 18
50.43, 1.810, 20
71.98, 1.312, 18

Structural model:
```
data_Mg6NbGa
_chemical_formula_sum 'Mg12 Nb2 Ga2'
_cell_length_a 4.8640
_cell_length_b 6.2690
_cell_length_c 10.7726
_cell_angle_alpha 90.00
_cell_angle_beta 90.00
_cell_angle_gamma 90.00
_space_group_name_H-M_alt 'A m m 2'
_space_group_IT_number 38
loop_
_space_group_symop_operation_xyz
'x,y,z'
'-x,-y,z'
'-x,y,z'
'x,-y,z'
'x,y+1/2,z+1/2'
'-x,-y+1/2,z+1/2'
'-x,y+1/2,z+1/2'
'x,-y+1/2,z+1/2'
loop_
_atom_site_label
_atom_site_type_symbol
_atom_site_fract_x
_atom_site_fract_y
_atom_site_fract_z
Mg1 Mg 0.0000 0.0000 0.0000
Mg2 Mg 0.0000 0.2433 0.7469
Mg3 Mg 0.5000 0.0000 0.1666
Mg4 Mg 0.5000 0.2470 0.4150
Nb1 Nb 0.5000 0.0000 0.6595
Ga1 Ga 0.0000 0.0000 0.5174
```